Record 1
The following is a computed powder XRD pattern of RbRe2Br6O2. It was derived from a cell relaxed with GGA-PBE, using Cu Kα X-rays.
Intensities are scaled so that the largest is 100.

Main lines, in order of rising 2θ (2θ from 10° to 90°):
2θ (°), d (Å), Rel. int.
10.30, 8.589, 86
13.13, 6.742, 100
24.41, 3.647, 90
24.83, 3.586, 42
31.24, 2.863, 88
45.16, 2.008, 46

Cell and atoms:
```
RbRe2Br6O2
1.0
-1.894 5.571 6.742
1.894 -5.571 6.742
1.894 5.571 -6.742
Rb Re Br O
1 2 6 2
Cartesian
0.000 0.000 0.000 Rb
1.894 4.105 0.000 Re
0.000 1.466 6.742 Re
1.894 2.228 -1.745 Br
1.894 2.228 1.745 Br
0.000 0.000 4.681 Br
0.000 0.000 8.803 Br
0.000 3.343 4.997 Br
0.000 3.343 8.487 Br
0.000 4.106 0.000 O
0.000 7.035 0.000 O
```

---

Record 2
The following is a computed powder XRD pattern of DyHoZn2In. It was derived from a cell relaxed with GGA-PBE, using Cu Kα X-rays.
Intensities are scaled so that the largest is 100.

Main lines, in order of rising 2θ (2θ from 10° to 90°):
2θ (°), d (Å), Rel. int.
27.68, 3.223, 29
32.75, 2.735, 100
35.53, 2.527, 66
37.71, 2.385, 53
40.99, 2.202, 31
55.34, 1.660, 36

Cell and atoms:
```
DyHoZn2In
1.0
3.600 0.000 0.000
0.000 4.404 0.000
0.000 0.000 14.188
Dy Ho Zn In
2 2 4 2
Cartesian
0.000 0.000 0.000 Dy
0.000 2.202 7.094 Dy
0.000 0.000 10.616 Ho
0.000 2.202 3.522 Ho
1.800 0.000 2.430 Zn
1.800 0.000 8.189 Zn
1.800 2.202 1.095 Zn
1.800 2.202 9.524 Zn
1.800 0.000 5.309 In
1.800 2.202 12.403 In
```

---

Record 3
The following is a computed powder XRD pattern of BaThFe. It was derived from a cell relaxed with GGA-PBE, using Cu Kα X-rays.
Intensities are scaled so that the largest is 100.

Main lines, in order of rising 2θ (2θ from 10° to 90°):
2θ (°), d (Å), Rel. int.
25.31, 3.519, 63
36.10, 2.488, 100
44.60, 2.032, 19
51.97, 1.759, 18
58.67, 1.574, 26
64.91, 1.437, 36

Cell and atoms:
```
BaThFe
1.0
7.038 0.000 0.000
0.000 7.038 0.000
0.000 0.000 7.038
Ba Th Fe
4 4 4
Cartesian
0.000 0.000 0.000 Ba
0.000 3.519 3.519 Ba
3.519 0.000 3.519 Ba
3.519 3.519 0.000 Ba
0.000 0.000 3.519 Th
0.000 3.519 0.000 Th
3.519 0.000 0.000 Th
3.519 3.519 3.519 Th
1.759 1.759 5.278 Fe
1.759 5.278 1.759 Fe
5.278 1.759 1.759 Fe
5.278 5.278 5.278 Fe
```

---

Record 4
The following is a computed powder XRD pattern of GdMgS2. It was derived from a cell relaxed with GGA-PBE, using Cu Kα X-rays.
Intensities are scaled so that the largest is 100.

Main lines, in order of rising 2θ (2θ from 10° to 90°):
2θ (°), d (Å), Rel. int.
16.09, 5.508, 75
23.02, 3.864, 66
28.21, 3.163, 61
32.51, 2.754, 51
32.78, 2.732, 100
46.84, 1.940, 71

Cell and atoms:
```
GdMgS2
1.0
3.864 0.000 0.000
0.000 3.864 0.000
0.000 0.000 5.508
Gd Mg S
1 1 2
Cartesian
0.000 0.000 0.000 Gd
1.932 1.932 2.754 Mg
0.000 0.000 2.754 S
1.932 1.932 0.000 S
```

---

Record 5
The following is a computed powder XRD pattern of PrSmNi2B2C2. It was derived from a cell relaxed with GGA-PBE, using Cu Kα X-rays.
Intensities are scaled so that the largest is 100.

Main lines, in order of rising 2θ (2θ from 10° to 90°):
2θ (°), d (Å), Rel. int.
26.67, 3.342, 100
33.75, 2.655, 61
35.56, 2.525, 43
36.11, 2.487, 65
41.78, 2.162, 56
48.91, 1.862, 39

Cell and atoms:
```
PrSmNi2B2C2
1.0
3.724 0.000 0.000
0.000 3.724 0.000
0.000 0.000 7.575
Pr Sm Ni B C
1 1 2 2 2
Cartesian
0.000 0.000 0.000 Pr
1.862 1.862 4.958 Sm
0.000 1.862 2.486 Ni
1.862 0.000 2.486 Ni
0.000 0.000 3.512 B
1.862 1.862 1.427 B
0.000 0.000 5.007 C
1.862 1.862 7.503 C
```

---

Record 6
The following is a computed powder XRD pattern of Sr4Nb3IrO12. It was derived from a cell relaxed with GGA-PBE, using Cu Kα X-rays.
Intensities are scaled so that the largest is 100.

Main lines, in order of rising 2θ (2θ from 10° to 90°):
2θ (°), d (Å), Rel. int.
31.45, 2.845, 100
31.55, 2.836, 98
45.09, 2.011, 39
45.26, 2.004, 20
56.05, 1.641, 27
56.17, 1.638, 35

Cell and atoms:
```
Sr4Nb3IrO12
1.0
5.675 0.000 0.000
-0.002 5.700 0.000
-0.004 -0.030 8.014
Sr Nb Ir O
4 3 1 12
Cartesian
0.016 2.683 1.952 Sr
2.798 5.563 1.960 Sr
2.872 0.107 6.055 Sr
5.653 2.986 6.062 Sr
-0.002 -0.015 4.007 Nb
2.837 2.850 0.000 Nb
2.835 2.835 4.007 Nb
0.000 0.000 0.000 Ir
0.361 5.630 5.981 O
1.245 4.090 3.760 O
1.262 4.091 0.271 O
1.584 1.244 3.765 O
1.608 1.271 0.257 O
2.509 2.792 6.009 O
3.161 2.878 2.005 O
4.062 4.399 7.757 O
4.086 4.426 4.249 O
4.408 1.579 7.743 O
4.425 1.580 4.255 O
5.309 0.039 2.033 O
```

---

Record 7
The following is a computed powder XRD pattern of Gd2Tm2CCl5. It was derived from a cell relaxed with GGA-PBE, using Cu Kα X-rays.
Intensities are scaled so that the largest is 100.

Main lines, in order of rising 2θ (2θ from 10° to 90°):
2θ (°), d (Å), Rel. int.
10.73, 8.246, 39
11.54, 7.669, 100
28.95, 3.085, 33
32.60, 2.747, 60
33.10, 2.706, 86
47.02, 1.933, 22

Cell and atoms:
```
Gd2Tm2CCl5
1.0
8.466 -1.863 0.000
8.466 1.863 0.000
-1.784 0.000 7.669
Gd Tm C Cl
2 2 1 5
Cartesian
-0.486 0.000 2.211 Gd
15.635 0.000 5.458 Gd
5.300 0.000 3.244 Tm
9.849 0.000 4.425 Tm
7.574 0.000 3.835 C
1.352 0.000 6.333 Cl
2.323 0.000 2.683 Cl
8.466 0.000 0.000 Cl
12.825 0.000 4.987 Cl
13.796 0.000 1.336 Cl
```

---

Record 8
The following is a computed powder XRD pattern of Tm5Pt4. It was derived from a cell relaxed with GGA-PBE, using Cu Kα X-rays.
Intensities are scaled so that the largest is 100.

Main lines, in order of rising 2θ (2θ from 10° to 90°):
2θ (°), d (Å), Rel. int.
32.69, 2.740, 100
32.83, 2.728, 63
34.56, 2.595, 36
36.83, 2.440, 43
38.49, 2.339, 60
38.69, 2.327, 48

Cell and atoms:
```
Tm5Pt4
1.0
7.388 0.000 0.000
0.000 14.446 0.000
0.000 0.000 7.464
Tm Pt
20 16
Cartesian
0.074 1.338 1.333 Tm
0.074 5.885 1.333 Tm
1.069 9.001 2.491 Tm
1.069 12.667 2.491 Tm
1.433 3.611 3.655 Tm
2.261 10.834 7.387 Tm
2.625 1.778 6.223 Tm
2.625 5.444 6.223 Tm
3.620 8.560 5.065 Tm
3.620 13.108 5.065 Tm
3.768 1.338 2.400 Tm
3.768 5.885 2.400 Tm
4.763 9.001 1.241 Tm
4.763 12.667 1.241 Tm
5.127 3.611 0.077 Tm
5.955 10.834 3.809 Tm
6.319 1.778 4.973 Tm
6.319 5.444 4.973 Tm
7.315 8.560 6.132 Tm
7.315 13.108 6.132 Tm
0.435 3.611 6.630 Pt
1.228 10.834 4.811 Pt
1.417 0.590 3.979 Pt
1.417 6.633 3.979 Pt
2.277 7.813 0.247 Pt
2.277 13.855 0.247 Pt
2.466 3.611 1.079 Pt
3.259 10.834 2.898 Pt
4.129 3.611 4.566 Pt
4.922 10.834 6.385 Pt
5.111 0.590 7.217 Pt
5.111 6.633 7.217 Pt
5.971 7.813 3.485 Pt
5.971 13.855 3.485 Pt
6.160 3.611 2.653 Pt
6.953 10.834 0.834 Pt
```

---

Record 9
The following is a computed powder XRD pattern of BeZnTeO. It was derived from a cell relaxed with GGA-PBE, using Cu Kα X-rays.
Intensities are scaled so that the largest is 100.

Main lines, in order of rising 2θ (2θ from 10° to 90°):
2θ (°), d (Å), Rel. int.
12.77, 6.933, 32
21.71, 4.094, 24
28.38, 3.145, 100
38.97, 2.311, 20
43.00, 2.104, 36
46.23, 1.964, 25

Cell and atoms:
```
BeZnTeO
1.0
5.073 0.000 0.000
0.000 8.372 0.000
0.000 0.000 13.866
Be Zn Te O
8 8 8 8
Cartesian
0.348 1.622 2.915 Be
0.348 2.564 9.848 Be
2.189 5.808 2.915 Be
2.189 6.750 9.848 Be
2.885 1.622 4.018 Be
2.885 2.564 10.950 Be
4.725 5.808 4.018 Be
4.725 6.750 10.950 Be
0.560 1.368 5.801 Zn
0.560 2.818 12.734 Zn
1.977 5.553 5.801 Zn
1.977 7.004 12.734 Zn
3.096 1.368 1.132 Zn
3.096 2.818 8.065 Zn
4.514 5.553 1.132 Zn
4.514 7.004 8.065 Zn
1.260 5.051 8.226 Te
1.260 7.506 1.293 Te
1.276 0.866 8.226 Te
1.276 3.320 1.293 Te
3.797 5.051 12.573 Te
3.797 7.506 5.640 Te
3.813 0.866 12.573 Te
3.813 3.320 5.640 Te
1.160 5.584 4.022 O
1.160 6.974 10.955 O
1.377 1.398 4.022 O
1.377 2.788 10.955 O
3.696 5.584 2.911 O
3.696 6.974 9.844 O
3.914 1.398 2.911 O
3.914 2.788 9.844 O
```

---

Record 10
The following is a computed powder XRD pattern of Nd2Dy2CBr3Cl2. It was derived from a cell relaxed with GGA-PBE, using Cu Kα X-rays.
Intensities are scaled so that the largest is 100.

Main lines, in order of rising 2θ (2θ from 10° to 90°):
2θ (°), d (Å), Rel. int.
10.17, 8.699, 52
11.27, 7.851, 66
30.84, 2.900, 52
32.22, 2.778, 100
44.75, 2.025, 40
45.63, 1.988, 33

Cell and atoms:
```
Nd2Dy2CBr3Cl2
1.0
8.987 -1.908 0.000
8.987 1.908 0.000
-2.037 0.000 7.851
Nd Dy C Br Cl
2 2 1 3 2
Cartesian
2.425 0.000 0.676 Nd
13.512 0.000 7.175 Nd
8.571 0.000 1.591 Dy
7.366 0.000 6.260 Dy
0.000 0.000 0.000 C
-1.018 0.000 3.926 Br
5.618 0.000 1.442 Br
10.319 0.000 6.410 Br
4.878 0.000 5.117 Cl
11.059 0.000 2.734 Cl
```

---

Record 11
The following is a computed powder XRD pattern of Li4CuGePt2. It was derived from a cell relaxed with GGA-PBE, using Cu Kα X-rays.
Intensities are scaled so that the largest is 100.

Main lines, in order of rising 2θ (2θ from 10° to 90°):
2θ (°), d (Å), Rel. int.
25.68, 3.469, 100
42.02, 2.150, 26
42.82, 2.112, 49
49.90, 1.828, 34
51.30, 1.781, 15
77.33, 1.234, 17

Cell and atoms:
```
Li4CuGePt2
1.0
4.301 0.000 0.000
0.000 4.301 0.000
0.000 0.000 5.869
Li Cu Ge Pt
4 1 1 2
Cartesian
0.000 0.000 0.000 Li
0.000 2.150 1.411 Li
2.150 0.000 4.458 Li
2.150 2.150 2.935 Li
2.150 2.150 0.000 Cu
0.000 0.000 2.935 Ge
0.000 2.150 4.316 Pt
2.150 0.000 1.553 Pt
```

---

Record 12
The following is a computed powder XRD pattern of ZnRe2Pd. It was derived from a cell relaxed with GGA-PBE, using Cu Kα X-rays.
Intensities are scaled so that the largest is 100.

Main lines, in order of rising 2θ (2θ from 10° to 90°):
2θ (°), d (Å), Rel. int.
24.94, 3.570, 15
41.30, 2.186, 100
48.85, 1.864, 8
59.83, 1.546, 17
75.30, 1.262, 34
89.71, 1.093, 11

Cell and atoms:
```
ZnRe2Pd
1.0
6.183 0.000 0.000
0.000 6.183 0.000
0.000 0.000 6.183
Zn Re Pd
4 8 4
Cartesian
0.000 0.000 0.000 Zn
0.000 3.091 3.091 Zn
3.091 0.000 3.091 Zn
3.091 3.091 0.000 Zn
0.000 0.000 3.091 Re
0.000 3.091 0.000 Re
1.546 1.546 1.546 Re
1.546 4.637 4.637 Re
3.091 0.000 0.000 Re
3.091 3.091 3.091 Re
4.637 1.546 4.637 Re
4.637 4.637 1.546 Re
1.546 1.546 4.637 Pd
1.546 4.637 1.546 Pd
4.637 1.546 1.546 Pd
4.637 4.637 4.637 Pd
```

---

Record 13
The following is a computed powder XRD pattern of Ho2Tm3Hg3. It was derived from a cell relaxed with GGA-PBE, using Cu Kα X-rays.
Intensities are scaled so that the largest is 100.

Main lines, in order of rising 2θ (2θ from 10° to 90°):
2θ (°), d (Å), Rel. int.
30.06, 2.973, 20
34.80, 2.578, 100
46.57, 1.950, 12
53.38, 1.716, 16
62.29, 1.490, 15
65.28, 1.429, 31

Cell and atoms:
```
Ho2Tm3Hg3
1.0
6.866 0.000 0.000
-3.433 5.946 0.000
0.000 0.000 5.168
Ho Tm Hg
2 3 3
Cartesian
0.000 0.000 0.000 Ho
0.000 3.964 2.584 Ho
3.433 0.035 0.000 Tm
1.747 2.955 0.000 Tm
5.119 2.955 0.000 Tm
1.733 1.000 2.584 Hg
5.133 1.000 2.584 Hg
3.433 3.945 2.584 Hg
```